This entry pairs a crystal structure of La2Pm7Dy2 with its calculated powder XRD pattern. Radiation: a wavelength of 1.5418 Å. Structure: a DFT-relaxed cell (GGA-PBE, Alexandria).

Top 6 peaks for 2θ from 10° to 80°, low angle first:
2θ (°)  d (Å)  Rel. int.
29.26  3.052  37.8
29.39  3.039  69.3
30.66  2.916  56.6
32.40  2.764  55.7
32.55  2.751  100.0
55.71  1.650  42.1

Crystal structure
```
La2Pm7Dy2
1.0
-1.8152 9.1562 5.8317
1.8152 -9.1562 5.8317
1.8152 9.1562 -5.8317
La Pm Dy
2 7 2
Direct
0.2066 0.0000 0.2066
0.7934 0.0000 0.7934
0.0498 0.0498 0.0000
0.0770 0.7461 0.3308
0.3823 0.5023 0.8800
0.4153 0.7461 0.6692
0.5985 0.2599 0.3386
0.6224 0.5023 0.1200
0.9213 0.2599 0.6614
0.3279 0.8279 0.5000
0.7366 0.7366 0.0000
```